# 1
Computed X-ray powder pattern of Ta4InN3 for Cu Kα, from a cell relaxed with PBE.
Neutral-atom scattering factors, no anomalous dispersion.

Atomic structure:
a = 3.0903 Å, b = 3.0903 Å, c = 25.1146 Å
α = 90.00°, β = 90.00°, γ = 120.00°
Space group P6_3/mmc (No. 194)
Symmetry-distinct sites (fractional):
Ta (0.0000, 0.0000, 0.1539) (multiplicity 4)
Ta (0.3333, 0.6667, 0.0493) (multiplicity 4)
In (0.3333, 0.6667, 0.2500) (multiplicity 2)
N (0.0000, 0.0000, 0.0000) (multiplicity 2)
N (0.3333, 0.6667, 0.6021) (multiplicity 4)

Largest 10 diffraction maxima, low angle first, 2θ from 10° to 80°:
33.68°, d 2.661, intensity 26
34.26°, d 2.617, intensity 31
35.75°, d 2.511, intensity 69
36.50°, d 2.462, intensity 82
38.10°, d 2.362, intensity 97
39.99°, d 2.255, intensity 100
59.86°, d 1.545, intensity 57
65.79°, d 1.419, intensity 19
69.41°, d 1.354, intensity 18
71.72°, d 1.316, intensity 56



# 2
Computed X-ray powder pattern of Cu2HgI3Br for Cu Kα, from a cell relaxed with PBE.
Neutral-atom scattering factors, no anomalous dispersion.

Atomic structure:
a = 8.573 Å, b = 8.525 Å, c = 7.552 Å
α = 90.00°, β = 123.49°, γ = 90.00°
Space group Cm (No. 8)
Symmetry-distinct sites (fractional):
Cu (0.000, 0.245, 0.000) (multiplicity 4)
Hg (0.499, 0.500, 0.495) (multiplicity 2)
I (0.098, 0.500, 0.234) (multiplicity 2)
I (0.135, 0.270, 0.764) (multiplicity 4)
Br (0.117, 0.000, 0.215) (multiplicity 2)

Largest 10 diffraction maxima, low angle first, 2θ from 10° to 80°:
16.35°, d 5.421, intensity 31
24.91°, d 3.575, intensity 54
25.23°, d 3.530, intensity 100
25.36°, d 3.512, intensity 48
26.00°, d 3.427, intensity 24
34.00°, d 2.637, intensity 28
41.12°, d 2.195, intensity 51
41.70°, d 2.166, intensity 50
42.17°, d 2.143, intensity 24
42.41°, d 2.131, intensity 23